Entry 1:
Theoretical XRD peak list
Compound: Pr4OsI5
Radiation: copper Kα
Structure: a structure optimized by DFT (PBE)
Kinematic intensities with the Lorentz-polarization factor, no thermal factor.

Crystal structure
```
Pr4OsI5
1.0
9.927 -2.167 0.000
9.927 2.167 0.000
-2.191 0.000 9.108
Pr Os I
4 1 5
Cartesian
-0.460 0.000 1.914
18.122 0.000 7.194
5.100 0.000 8.435
12.562 0.000 0.673
9.927 0.000 0.000
2.593 0.000 3.099
1.610 0.000 7.584
8.831 0.000 4.554
16.052 0.000 1.524
15.069 0.000 6.009
```

Top 8 peaks for 2θ = 5–70°, by angle:
| two_theta | I/Imax |
| --- | --- |
| 9.16 | 24 |
| 9.71 | 43 |
| 27.73 | 44 |
| 28.05 | 100 |
| 38.44 | 18 |
| 39.85 | 63 |
| 41.68 | 18 |
| 50.80 | 17 |


Entry 2:
Theoretical XRD peak list
Compound: TbPm5Tm12
Radiation: copper Kα
Structure: a structure optimized by DFT (PBE)
Kinematic intensities with the Lorentz-polarization factor, no thermal factor.

Crystal structure
```
TbPm5Tm12
1.0
9.181 -5.292 0.000
9.181 5.292 0.000
-2.021 0.000 5.781
Tb Pm Tm
1 5 12
Cartesian
0.000 0.000 0.000
2.043 0.000 2.886
4.099 0.000 5.779
8.171 0.000 2.891
12.242 0.000 0.002
14.298 0.000 2.896
6.128 3.518 0.004
5.111 1.780 2.890
8.171 3.521 2.891
9.181 1.786 0.000
10.213 3.518 5.777
11.230 1.780 2.892
5.111 -1.780 2.890
6.128 -3.518 0.004
9.181 -1.786 0.000
8.171 -3.521 2.891
11.230 -1.780 2.892
10.213 -3.518 5.777
```

Top 8 peaks for 2θ = 5–70°, by angle:
| two_theta | I/Imax |
| --- | --- |
| 30.94 | 34 |
| 31.01 | 100 |
| 35.92 | 45 |
| 35.98 | 22 |
| 51.76 | 40 |
| 61.43 | 19 |
| 61.56 | 10 |
| 61.60 | 28 |


Entry 3:
Theoretical XRD peak list
Compound: BC2
Radiation: copper Kα
Structure: a structure optimized by DFT (PBE)
Kinematic intensities with the Lorentz-polarization factor, no thermal factor.

Crystal structure
```
BC2
1.0
2.525 0.000 0.000
-1.263 2.187 0.000
0.000 0.000 13.695
B C
4 8
Cartesian
0.000 0.000 0.833
0.000 0.000 12.862
0.000 1.458 1.901
1.263 0.729 11.794
0.000 0.000 6.075
0.000 0.000 7.620
0.000 1.458 3.484
0.000 1.458 8.140
0.000 1.458 9.685
1.263 0.729 4.010
1.263 0.729 5.555
1.263 0.729 10.211
```

Top 8 peaks for 2θ = 5–70°, by angle:
| two_theta | I/Imax |
| --- | --- |
| 6.45 | 100 |
| 12.93 | 3 |
| 39.48 | 8 |
| 43.44 | 43 |
| 46.02 | 3 |
| 46.41 | 4 |
| 63.84 | 2 |
| 69.76 | 5 |


Entry 4:
Theoretical XRD peak list
Compound: Sc4As2O
Radiation: copper Kα
Structure: a structure optimized by DFT (PBE)
Kinematic intensities with the Lorentz-polarization factor, no thermal factor.

Crystal structure
```
Sc4As2O
1.0
6.647 0.000 0.000
0.000 10.462 0.000
0.000 0.000 3.715
Sc As O
8 4 2
Cartesian
0.753 1.989 0.000
1.433 9.853 1.858
1.891 4.622 1.858
2.570 7.220 0.000
4.077 3.242 0.000
4.756 5.839 1.858
5.215 0.608 1.858
5.894 8.473 0.000
0.587 7.066 1.858
2.737 1.836 1.858
3.910 8.626 1.858
6.061 3.395 1.858
0.000 0.000 0.000
3.324 5.231 0.000
```

Top 8 peaks for 2θ = 5–70°, by angle:
| two_theta | I/Imax |
| --- | --- |
| 23.95 | 31 |
| 28.86 | 47 |
| 36.93 | 52 |
| 37.31 | 100 |
| 37.89 | 65 |
| 44.40 | 30 |
| 49.04 | 27 |
| 52.01 | 24 |


Entry 5:
Theoretical XRD peak list
Compound: Y2ZnNi2Pt5
Radiation: copper Kα
Structure: a structure optimized by DFT (PBE)
Kinematic intensities with the Lorentz-polarization factor, no thermal factor.

Crystal structure
```
Y2ZnNi2Pt5
1.0
9.224 0.000 0.000
0.000 9.224 0.000
0.000 0.000 3.936
Y Zn Ni Pt
4 2 4 10
Cartesian
1.615 2.997 0.000
2.997 7.610 0.000
6.227 1.615 0.000
7.610 6.227 0.000
0.000 0.000 0.000
4.612 4.612 0.000
1.134 5.746 0.000
3.478 1.134 0.000
5.746 8.091 0.000
8.091 3.478 0.000
0.000 4.612 1.968
0.625 7.335 1.968
1.889 0.625 1.968
2.723 5.237 1.968
3.988 2.723 1.968
4.612 0.000 1.968
5.237 6.501 1.968
6.501 3.988 1.968
7.335 8.600 1.968
8.600 1.889 1.968
```

Top 8 peaks for 2θ = 5–70°, by angle:
| two_theta | I/Imax |
| --- | --- |
| 22.59 | 38 |
| 31.41 | 22 |
| 35.75 | 20 |
| 38.41 | 100 |
| 40.31 | 47 |
| 42.13 | 48 |
| 46.12 | 33 |
| 62.89 | 26 |


Entry 6:
Theoretical XRD peak list
Compound: Cs3Ga2Cl8
Radiation: copper Kα
Structure: a structure optimized by DFT (PBE)
Kinematic intensities with the Lorentz-polarization factor, no thermal factor.

Crystal structure
```
Cs3Ga2Cl8
1.0
3.739 2.159 9.675
-3.739 2.159 9.675
0.000 -4.318 9.675
Cs Ga Cl
3 2 8
Cartesian
0.000 0.000 0.000
0.000 0.000 6.074
0.000 0.000 22.950
0.000 0.000 11.896
0.000 0.000 17.128
-1.904 -1.099 16.389
0.000 -2.198 12.635
-1.904 1.099 12.635
0.000 0.000 9.602
0.000 0.000 19.421
1.904 -1.099 16.389
0.000 2.198 16.389
1.904 1.099 12.635
```

Top 8 peaks for 2θ = 5–70°, by angle:
| two_theta | I/Imax |
| --- | --- |
| 20.55 | 90 |
| 23.80 | 100 |
| 31.64 | 60 |
| 33.84 | 31 |
| 39.97 | 35 |
| 41.83 | 32 |
| 48.69 | 52 |
| 53.34 | 34 |